Li2OsN2: theoretical X-ray powder pattern (a wavelength of 1.5418 Å), based on a crystal structure in the Materials Project, relaxed with PBE.
Peak positions follow from Bragg's law for the DFT cell and can differ from measured ones.

Structure:
```
Li2OsN2
1.0
2.919 -1.488 0.000
2.919 1.488 0.000
-0.117 0.000 5.233
Li Os N
2 1 2
Direct
0.154 0.154 0.364
0.846 0.846 0.636
0.500 0.500 0.000
0.177 0.177 0.790
0.823 0.823 0.210
```

Top 10 peaks for 5 to 70 degrees two-theta, in order of rising 2θ:
| 2θ/deg | I (rel.) |
| --- | --- |
| 16.94 | 100.0 |
| 30.63 | 18.8 |
| 33.80 | 30.3 |
| 34.27 | 13.3 |
| 34.86 | 14.4 |
| 35.55 | 18.4 |
| 37.88 | 32.7 |
| 38.20 | 22.4 |
| 48.64 | 17.9 |
| 49.17 | 11.9 |